Calculated XRD peak list
Compound: Y11In6Si4
Radiation: Cu Kα, 1.54184 Å
Structure: a GGA-PBE-relaxed structure
No peak broadening, texture or thermal motion is included.

Crystal structure
Cell: 11.5180 11.5180 16.2984 Å, 90.00 90.00 90.00°
Space group I4/mmm (No. 139)
One atom of each set of equivalent atoms:
Y  0.0000  0.0000  0.1674
Y  0.0000  0.2502  0.3149
Y  0.0000  0.3468  0.1014
Y  0.1677  0.1677  0.5000
In  0.1291  0.1291  0.0000
In  0.2064  0.2064  0.1708
Si  0.0000  0.0000  0.3828
Si  0.0000  0.3478  0.5000
Si  0.0000  0.5000  0.2500

Principal peaks in the range 10° ≤ 2θ ≤ 90°, sorted by position:
2theta  I/Imax  h k l
28.47  16  3 0 3
32.51  93  3 2 3
32.99  100  3 3 0
34.82  18  1 1 6
36.15  25  3 0 5
42.63  22  5 0 3
56.48  17  4 4 6
65.59  24  7 2 5